This entry pairs a crystal structure of Sc4ZnCoC2 with its calculated X-ray diffraction stick pattern. Radiation: copper Kα. Structure: a structure optimized by DFT (GGA-PBE).
Peak positions follow from Bragg's law for the DFT cell and can differ from measured ones.

Top 10 peaks for 2θ from 10° to 90°, low angle first:
d/Å	Rel. int.
2.854	22
2.635	8
2.421	100
2.286	13
1.978	8
1.784	12
1.648	22
1.362	14
1.345	7
1.337	12

Structure:
```
Sc4ZnCoC2
1.0
3.295 0.000 0.000
-1.648 2.854 0.000
0.000 0.000 13.719
Sc Zn Co C
4 1 1 2
Direct
0.000 0.000 0.141
0.000 0.000 0.859
0.667 0.333 0.323
0.667 0.333 0.677
0.000 0.000 0.500
0.667 0.333 0.000
0.333 0.667 0.236
0.333 0.667 0.764
```

This entry pairs a crystal structure of Zr2Sc4Co3C3 with its calculated X-ray diffraction stick pattern. Radiation: copper Kα. Structure: a structure optimized by DFT (GGA-PBE).
Peak positions follow from Bragg's law for the DFT cell and can differ from measured ones.

Top 10 peaks for 2θ from 10° to 90°, low angle first:
d/Å	Rel. int.
2.753	34
2.436	26
2.419	23
2.360	100
2.354	51
2.154	29
2.126	26
1.627	19
1.454	23
1.400	17

Structure:
```
Zr2Sc4Co3C3
1.0
4.876 -2.821 0.000
4.876 2.821 0.000
-3.206 0.000 12.926
Zr Sc Co C
4 8 6 6
Direct
0.035 0.871 0.607
0.129 0.965 0.893
0.871 0.035 0.107
0.965 0.129 0.393
0.199 0.366 0.095
0.304 0.466 0.405
0.366 0.199 0.595
0.466 0.304 0.905
0.534 0.696 0.095
0.634 0.801 0.405
0.696 0.534 0.595
0.801 0.634 0.905
0.081 0.413 0.750
0.413 0.081 0.250
0.413 0.587 0.250
0.587 0.413 0.750
0.587 0.919 0.750
0.919 0.587 0.250
0.000 0.500 0.500
0.156 0.689 0.000
0.311 0.844 0.500
0.500 0.000 0.000
0.689 0.156 0.500
0.844 0.311 0.000
```

This entry pairs a crystal structure of Y2Co2SiSnC with its calculated X-ray diffraction stick pattern. Radiation: copper Kα. Structure: a structure optimized by DFT (GGA-PBE).
Peak positions follow from Bragg's law for the DFT cell and can differ from measured ones.

Top 10 peaks for 2θ from 10° to 90°, low angle first:
d/Å	Rel. int.
2.738	30
2.705	49
2.680	86
2.626	35
2.524	100
2.502	34
2.320	78
2.241	47
1.990	47
1.455	30

Structure:
```
Y2Co2SiSnC
1.0
10.959 0.000 0.000
0.000 3.979 0.000
-4.367 0.000 5.476
Y Co Si Sn C
4 4 2 2 2
Direct
0.000 0.000 0.000
0.116 0.000 0.574
0.500 0.500 0.000
0.616 0.500 0.574
0.259 0.500 0.398
0.384 0.000 0.238
0.759 0.000 0.398
0.884 0.500 0.238
0.391 0.000 0.579
0.891 0.500 0.579
0.217 0.500 0.991
0.717 0.000 0.991
0.067 0.500 0.302
0.567 0.000 0.302
```

What did the second record say?
This entry pairs a crystal structure of Zr2Sc4Co3C3 with its calculated X-ray diffraction stick pattern. Radiation: copper Kα. Structure: a structure optimized by DFT (GGA-PBE).
Peak positions follow from Bragg's law for the DFT cell and can differ from measured ones.

Top 10 peaks for 2θ from 10° to 90°, low angle first:
d/Å	Rel. int.
2.753	34
2.436	26
2.419	23
2.360	100
2.354	51
2.154	29
2.126	26
1.627	19
1.454	23
1.400	17

Structure:
```
Zr2Sc4Co3C3
1.0
4.876 -2.821 0.000
4.876 2.821 0.000
-3.206 0.000 12.926
Zr Sc Co C
4 8 6 6
Direct
0.035 0.871 0.607
0.129 0.965 0.893
0.871 0.035 0.107
0.965 0.129 0.393
0.199 0.366 0.095
0.304 0.466 0.405
0.366 0.199 0.595
0.466 0.304 0.905
0.534 0.696 0.095
0.634 0.801 0.405
0.696 0.534 0.595
0.801 0.634 0.905
0.081 0.413 0.750
0.413 0.081 0.250
0.413 0.587 0.250
0.587 0.413 0.750
0.587 0.919 0.750
0.919 0.587 0.250
0.000 0.500 0.500
0.156 0.689 0.000
0.311 0.844 0.500
0.500 0.000 0.000
0.689 0.156 0.500
0.844 0.311 0.000
```